[1]
Simulated XRD peak list of Tb2YTm2Th for Cu Kα (weighted mean of Kα1 and Kα2), from a crystal structure in Alexandria, relaxed with PBE.
Peak positions follow from Bragg's law for the DFT cell and can differ from measured ones.

Largest 10 diffraction maxima, by intensity, 10° ≤ 2θ ≤ 90°:
- 30.34°, rel. 100
- 31.15°, rel. 82
- 30.56°, rel. 73
- 32.88°, rel. 68
- 37.06°, rel. 65
- 33.38°, rel. 32
- 31.65°, rel. 32
- 28.28°, rel. 31
- 35.50°, rel. 31
- 54.33°, rel. 27

Crystal structure
```
Tb2YTm2Th
1.0
6.444 0.000 0.000
0.000 6.756 0.000
-0.858 0.000 8.839
Tb Y Tm Th
4 2 4 2
Cartesian
1.017 0.001 1.421
1.017 3.377 1.421
4.570 6.755 7.418
4.570 3.379 7.418
1.361 1.689 7.284
4.225 5.067 1.555
0.045 5.067 4.369
2.330 1.689 4.103
3.257 5.067 4.736
5.542 1.689 4.470
1.291 5.067 7.477
4.296 1.689 1.362
```

=====

[2]
Simulated XRD peak list of Na2LiHg2 for Cu Kα (weighted mean of Kα1 and Kα2), from a crystal structure in Alexandria, relaxed with PBE.
Peak positions follow from Bragg's law for the DFT cell and can differ from measured ones.

Largest 10 diffraction maxima, by intensity, 10° ≤ 2θ ≤ 90°:
- 25.05°, rel. 100
- 18.24°, rel. 90
- 36.14°, rel. 75
- 31.63°, rel. 61
- 36.34°, rel. 46
- 45.00°, rel. 34
- 25.63°, rel. 30
- 36.95°, rel. 24
- 58.30°, rel. 22
- 59.58°, rel. 21

Crystal structure
```
Na2LiHg2
1.0
-1.910 3.476 4.865
1.910 -3.476 4.865
1.910 3.476 -4.865
Na Li Hg
2 1 2
Cartesian
0.000 0.000 2.151
0.000 0.000 7.579
0.000 3.476 0.000
1.910 1.491 0.000
0.000 1.985 4.865
```

=====

[3]
Simulated XRD peak list of Ba8NaIrAu2 for Cu Kα (weighted mean of Kα1 and Kα2), from a crystal structure in Alexandria, relaxed with PBE.
Peak positions follow from Bragg's law for the DFT cell and can differ from measured ones.

Largest 10 diffraction maxima, by intensity, 10° ≤ 2θ ≤ 90°:
- 24.04°, rel. 100
- 38.37°, rel. 69
- 31.67°, rel. 61
- 15.79°, rel. 56
- 25.27°, rel. 50
- 16.11°, rel. 48
- 31.27°, rel. 46
- 24.26°, rel. 45
- 36.50°, rel. 41
- 21.40°, rel. 35

Crystal structure
```
Ba8NaIrAu2
1.0
7.722 0.000 0.000
0.158 8.003 0.000
0.018 0.010 9.849
Ba Na Ir Au
8 1 1 2
Cartesian
1.749 1.106 4.919
2.017 1.512 9.845
2.123 5.346 2.116
2.140 5.360 7.736
5.758 2.653 2.113
5.775 2.667 7.732
5.880 6.501 0.004
6.148 6.908 4.930
3.949 4.007 4.924
3.940 4.002 0.000
7.883 8.003 2.354
0.014 0.010 7.495
```

=====

[4]
Simulated XRD peak list of SmIn6Ni4 for Cu Kα (weighted mean of Kα1 and Kα2), from a crystal structure in Alexandria, relaxed with PBE.
Peak positions follow from Bragg's law for the DFT cell and can differ from measured ones.

Largest 10 diffraction maxima, by intensity, 10° ≤ 2θ ≤ 90°:
- 32.47°, rel. 100
- 31.12°, rel. 76
- 41.14°, rel. 61
- 37.79°, rel. 41
- 42.12°, rel. 39
- 41.31°, rel. 39
- 42.43°, rel. 33
- 54.24°, rel. 29
- 30.91°, rel. 21
- 63.99°, rel. 21

Crystal structure
```
SmIn6Ni4
1.0
-3.367 3.367 4.807
3.367 -3.367 4.807
3.367 3.367 -4.807
Sm In Ni
1 6 4
Cartesian
0.000 0.000 0.000
3.367 0.000 0.000
2.149 2.149 -2.023
1.218 1.218 2.783
0.000 3.367 0.000
1.218 -1.218 6.830
-1.218 1.218 6.830
1.104 -1.104 4.142
2.263 2.263 0.664
-1.104 1.104 4.142
1.104 1.104 5.471
```

=====

[5]
Simulated XRD peak list of V6CrC for Cu Kα (weighted mean of Kα1 and Kα2), from a crystal structure in Alexandria, relaxed with PBE.
Peak positions follow from Bragg's law for the DFT cell and can differ from measured ones.

Largest 10 diffraction maxima, by intensity, 10° ≤ 2θ ≤ 90°:
- 40.90°, rel. 100
- 43.06°, rel. 100
- 43.19°, rel. 99
- 41.02°, rel. 93
- 41.27°, rel. 91
- 42.08°, rel. 82
- 62.12°, rel. 29
- 63.15°, rel. 28
- 57.01°, rel. 26
- 77.39°, rel. 26

Crystal structure
```
V6CrC
1.0
4.389 0.000 0.000
-0.075 4.903 0.000
-1.817 -0.594 4.626
V Cr C
6 1 1
Cartesian
-0.025 1.317 0.658
0.029 3.926 2.039
0.469 1.512 3.474
2.028 2.796 1.152
2.468 0.383 2.587
2.522 2.991 3.968
2.195 0.000 0.000
-0.946 2.154 2.313
```

=====

[6]
Simulated XRD peak list of DyHo5Er7 for Cu Kα (weighted mean of Kα1 and Kα2), from a crystal structure in Alexandria, relaxed with PBE.
Peak positions follow from Bragg's law for the DFT cell and can differ from measured ones.

Largest 10 diffraction maxima, by intensity, 10° ≤ 2θ ≤ 90°:
- 32.05°, rel. 100
- 35.36°, rel. 93
- 31.38°, rel. 75
- 31.55°, rel. 49
- 31.24°, rel. 49
- 58.47°, rel. 40
- 27.85°, rel. 37
- 36.32°, rel. 34
- 57.55°, rel. 32
- 67.02°, rel. 26

Crystal structure
```
DyHo5Er7
1.0
-3.311 5.490 5.701
3.311 -5.490 5.701
3.311 5.490 -5.701
Dy Ho Er
1 5 7
Cartesian
0.000 0.000 0.000
1.535 2.491 -2.221
5.087 2.491 -2.221
3.311 0.000 3.481
-1.776 2.999 3.480
1.776 2.999 3.480
3.311 1.873 0.626
0.000 0.000 3.497
0.000 3.624 0.638
0.000 0.000 6.994
0.000 7.356 0.638
0.000 5.490 3.483
0.000 3.618 6.327
```